Diffraction record for LiPrS2. The X-ray diffraction stick pattern is calculated, not measured: it uses DFT lattice parameters and positions (GGA-PBE) and Cu Kα (weighted mean of Kα1 and Kα2).
Kinematic intensities with the Lorentz-polarization factor, no thermal factor.

Structure:
abc: 5.6932 5.6932 11.3633
angles: 90.00 90.00 90.00
Atoms (fractional coordinates):
Li  0.0000  0.2500  0.3750
Li  0.0000  0.7500  0.6250
Li  0.5000  0.2500  0.1250
Li  0.5000  0.7500  0.8750
Pr  0.0000  0.2500  0.8750
Pr  0.0000  0.7500  0.1250
Pr  0.5000  0.2500  0.6250
Pr  0.5000  0.7500  0.3750
S  0.0000  0.2500  0.1246
S  0.0000  0.2500  0.6254
S  0.0000  0.7500  0.3746
S  0.0000  0.7500  0.8754
S  0.5000  0.2500  0.3754
S  0.5000  0.2500  0.8746
S  0.5000  0.7500  0.1254
S  0.5000  0.7500  0.6246

The 12 most intense peaks (15 to 90 degrees two-theta), sorted by position:
d/Å, Rel. int.
5.090, 100
3.285, 23
3.154, 31
2.845, 87
2.484, 33
2.112, 30
2.011, 62
1.715, 13
1.696, 15
1.642, 21
1.273, 18
1.162, 14